The following is a theoretical X-ray powder pattern of Ac4Pt2Au5. It was derived from a cell relaxed with GGA-PBE, using copper Kα.
Neutral-atom scattering factors, no anomalous dispersion.

Structure:
```
data_Ac4Pt2Au5
_chemical_formula_sum 'Ac4 Pt2 Au5'
_symmetry_space_group_name_H-M 'P 1'
_symmetry_Int_Tables_number 1
_symmetry_space_group_name_Hall 'P 1'
_cell_length_a 7.7409
_cell_length_b 4.1687
_cell_length_c 9.2361
_cell_angle_alpha 90.00
_cell_angle_beta 90.11
_cell_angle_gamma 90.00
loop_
_atom_site_label
_atom_site_fract_x
_atom_site_fract_y
_atom_site_fract_z
Ac1 0.2241 0.0000 0.3557
Ac2 0.2405 0.0000 0.8922
Ac3 0.7595 0.0000 0.1078
Ac4 0.7759 0.0000 0.6443
Pt1 0.0673 0.5000 0.1388
Pt2 0.9327 0.5000 0.8612
Au1 0.1455 0.5000 0.6163
Au2 0.4354 0.5000 0.1475
Au3 0.5000 0.5000 0.5000
Au4 0.5646 0.5000 0.8525
Au5 0.8545 0.5000 0.3837
```

Largest 10 diffraction maxima, sorted by position, 2θ from 10° to 90°:
2θ/deg  I/Imax  hkl
31.13  100.0  1 1 2
31.54  48.7  2 1 0
36.27  11.8  0 1 3
37.30  13.1  2 0 -3
39.01  17.8  0 0 4
40.04  33.4  3 0 2
43.40  31.1  0 2 0
59.77  15.4  0 2 4
60.52  20.3  3 2 2
72.01  11.3  1 3 2